Diffraction record for PmReH5. The powder XRD pattern is calculated, not measured: it uses a structure optimized by DFT (GGA-PBE) and copper Kα.

Structure:
```
data_PmReH5
_chemical_formula_sum 'Pm2 Re2 H10'
_symmetry_space_group_name_H-M 'I m m 2'
_symmetry_Int_Tables_number 44
_symmetry_space_group_name_Hall 'I 2 -2'
_cell_length_a 5.3950
_cell_length_b 7.0896
_cell_length_c 3.8759
_cell_angle_alpha 90.00
_cell_angle_beta 90.00
_cell_angle_gamma 90.00
loop_
_atom_site_label
_atom_site_fract_x
_atom_site_fract_y
_atom_site_fract_z
Pm1 0.0000 0.0000 0.0000
Re1 0.0000 0.5000 0.9715
H1 0.0000 0.2911 0.7684
H2 0.0000 0.5000 0.4688
H3 0.1827 0.0000 0.4964
```

Main lines, by angle (10° ≤ 2θ ≤ 90°):
25.1°, d = 3.545 Å, rel. 70; 28.4°, d = 3.148 Å, rel. 100; 33.2°, d = 2.698 Å, rel. 34; 38.2°, d = 2.354 Å, rel. 90; 42.1°, d = 2.147 Å, rel. 35; 62.7°, d = 1.482 Å, rel. 33

---

Diffraction record for Pm2H10Rh3. The powder XRD pattern is calculated, not measured: it uses a structure optimized by DFT (GGA-PBE) and copper Kα.

Structure:
```
data_Pm2H10Rh3
_chemical_formula_sum 'Pm4 H20 Rh6'
_symmetry_space_group_name_H-M 'P -1'
_symmetry_Int_Tables_number 2
_symmetry_space_group_name_Hall '-P 1'
_cell_length_a 5.1378
_cell_length_b 7.6120
_cell_length_c 8.1478
_cell_angle_alpha 68.69
_cell_angle_beta 73.47
_cell_angle_gamma 88.35
loop_
_atom_site_label
_atom_site_fract_x
_atom_site_fract_y
_atom_site_fract_z
Pm1 0.1210 0.2297 0.2923
Pm2 0.2084 0.7836 0.1090
H1 0.0000 0.5000 0.0000
H2 0.0619 0.9797 0.8366
H3 0.0726 0.6600 0.4487
H4 0.1176 0.4784 0.7264
H5 0.2735 0.2459 0.9692
H6 0.2966 0.9800 0.4945
H7 0.3485 0.7515 0.7728
H8 0.3623 0.4918 0.2887
H9 0.4330 0.0104 0.1663
H10 0.4491 0.2616 0.5884
H11 0.5000 0.5000 0.0000
Rh1 0.2487 0.4439 0.5218
Rh2 0.3132 0.4894 0.8643
Rh3 0.3781 0.0104 0.6828
```

Main lines, by angle (10° ≤ 2θ ≤ 90°):
28.9°, d = 3.089 Å, rel. 38; 29.9°, d = 2.989 Å, rel. 48; 30.5°, d = 2.932 Å, rel. 100; 30.8°, d = 2.904 Å, rel. 40; 31.6°, d = 2.829 Å, rel. 44; 34.5°, d = 2.602 Å, rel. 71

---

Diffraction record for Pm2HRh. The powder XRD pattern is calculated, not measured: it uses a structure optimized by DFT (GGA-PBE) and copper Kα.

Structure:
```
data_Pm2HRh
_chemical_formula_sum 'Pm8 H4 Rh4'
_symmetry_space_group_name_H-M 'C 1 2/m 1'
_symmetry_Int_Tables_number 12
_symmetry_space_group_name_Hall '-C 2y'
_cell_length_a 14.0065
_cell_length_b 3.8063
_cell_length_c 7.0474
_cell_angle_alpha 90.00
_cell_angle_beta 113.53
_cell_angle_gamma 90.00
loop_
_atom_site_label
_atom_site_fract_x
_atom_site_fract_y
_atom_site_fract_z
Pm1 0.0141 0.0000 0.2560
Pm2 0.2157 0.5000 0.7486
H1 0.1116 0.0000 0.6043
Rh1 0.1170 0.5000 0.0627
```

Main lines, by angle (10° ≤ 2θ ≤ 90°):
29.4°, d = 3.034 Å, rel. 60; 30.4°, d = 2.938 Å, rel. 56; 31.5°, d = 2.844 Å, rel. 100; 34.9°, d = 2.568 Å, rel. 44; 36.1°, d = 2.487 Å, rel. 49; 40.0°, d = 2.255 Å, rel. 42

---

Diffraction record for Pm2H3Rh. The powder XRD pattern is calculated, not measured: it uses a structure optimized by DFT (GGA-PBE) and copper Kα.

Structure:
```
data_Pm2H3Rh
_chemical_formula_sum 'Pm16 H24 Rh8'
_symmetry_space_group_name_H-M 'F m m m'
_symmetry_Int_Tables_number 69
_symmetry_space_group_name_Hall '-F 2 2'
_cell_length_a 7.2458
_cell_length_b 7.2968
_cell_length_c 14.5513
_cell_angle_alpha 90.00
_cell_angle_beta 90.00
_cell_angle_gamma 90.00
loop_
_atom_site_label
_atom_site_fract_x
_atom_site_fract_y
_atom_site_fract_z
Pm1 0.0000 0.2435 0.0000
Pm2 0.2500 0.2500 0.2500
H1 0.0000 0.0000 0.2703
H2 0.2141 0.0000 0.0888
Rh1 0.0000 0.0000 0.1503
```

Main lines, by angle (10° ≤ 2θ ≤ 90°):
24.4°, d = 3.642 Å, rel. 51; 27.5°, d = 3.243 Å, rel. 67; 34.8°, d = 2.576 Å, rel. 84; 37.1°, d = 2.424 Å, rel. 100; 45.0°, d = 2.015 Å, rel. 38; 62.7°, d = 1.482 Å, rel. 28

---

Diffraction record for PmH3Rh2. The powder XRD pattern is calculated, not measured: it uses a structure optimized by DFT (GGA-PBE) and copper Kα.

Structure:
```
data_PmH3Rh2
_chemical_formula_sum 'Pm4 H12 Rh8'
_symmetry_space_group_name_H-M 'C m c m'
_symmetry_Int_Tables_number 63
_symmetry_space_group_name_Hall '-C 2c 2'
_cell_length_a 6.8420
_cell_length_b 8.1992
_cell_length_c 5.4748
_cell_angle_alpha 90.00
_cell_angle_beta 90.00
_cell_angle_gamma 90.00
loop_
_atom_site_label
_atom_site_fract_x
_atom_site_fract_y
_atom_site_fract_z
Pm1 0.0000 0.2042 0.2500
H1 0.0000 0.4809 0.7500
H2 0.1600 0.0712 0.7500
Rh1 0.2025 0.5000 0.0000
```

Main lines, by angle (10° ≤ 2θ ≤ 90°):
23.5°, d = 3.790 Å, rel. 100; 34.1°, d = 2.627 Å, rel. 87; 35.4°, d = 2.538 Å, rel. 27; 39.6°, d = 2.277 Å, rel. 72; 42.3°, d = 2.137 Å, rel. 56; 63.0°, d = 1.475 Å, rel. 25

---

Diffraction record for Pm2SiHRh6. The powder XRD pattern is calculated, not measured: it uses a structure optimized by DFT (GGA-PBE) and copper Kα.

Structure:
```
data_Pm2SiHRh6
_chemical_formula_sum 'Pm4 Si2 H2 Rh12'
_symmetry_space_group_name_H-M 'I 4/m m m'
_symmetry_Int_Tables_number 139
_symmetry_space_group_name_Hall '-I 4 2'
_cell_length_a 6.0827
_cell_length_b 6.0827
_cell_length_c 8.5774
_cell_angle_alpha 90.00
_cell_angle_beta 90.00
_cell_angle_gamma 90.00
loop_
_atom_site_label
_atom_site_fract_x
_atom_site_fract_y
_atom_site_fract_z
Pm1 0.0000 0.5000 0.2500
Si1 0.0000 0.0000 0.0000
H1 0.0000 0.0000 0.5000
Rh1 0.0000 0.0000 0.2679
Rh2 0.2326 0.2326 0.5000
```

Main lines, by angle (10° ≤ 2θ ≤ 90°):
36.2°, d = 2.481 Å, rel. 100; 42.0°, d = 2.151 Å, rel. 37; 42.1°, d = 2.144 Å, rel. 18; 61.0°, d = 1.519 Å, rel. 35; 73.0°, d = 1.296 Å, rel. 23; 73.1°, d = 1.294 Å, rel. 11

---

Diffraction record for PmH6Ru3. The powder XRD pattern is calculated, not measured: it uses a structure optimized by DFT (GGA-PBE) and copper Kα.

Structure:
```
data_PmH6Ru3
_chemical_formula_sum 'Pm1 H6 Ru3'
_symmetry_space_group_name_H-M 'P 1'
_symmetry_Int_Tables_number 1
_symmetry_space_group_name_Hall 'P 1'
_cell_length_a 4.6930
_cell_length_b 4.6935
_cell_length_c 5.6797
_cell_angle_alpha 65.65
_cell_angle_beta 65.67
_cell_angle_gamma 60.06
loop_
_atom_site_label
_atom_site_fract_x
_atom_site_fract_y
_atom_site_fract_z
Pm1 0.0000 0.0000 0.0000
H1 0.0472 0.5417 0.8540
H2 0.2275 0.8318 0.3738
H3 0.5408 0.5576 0.8535
H4 0.5562 0.0484 0.8540
H5 0.5666 0.2259 0.3745
H6 0.8299 0.5673 0.3740
Ru1 0.1847 0.1877 0.4402
Ru2 0.4596 0.4611 0.6168
Ru3 0.7915 0.7929 0.6237
```

Main lines, by angle (10° ≤ 2θ ≤ 90°):
17.8°, d = 4.995 Å, rel. 25; 22.7°, d = 3.924 Å, rel. 24; 32.5°, d = 2.755 Å, rel. 56; 37.3°, d = 2.412 Å, rel. 50; 38.3°, d = 2.347 Å, rel. 100; 53.6°, d = 1.710 Å, rel. 27

---

Diffraction record for Pm3H2S3. The powder XRD pattern is calculated, not measured: it uses a structure optimized by DFT (GGA-PBE) and copper Kα.

Structure:
```
data_Pm3H2S3
_chemical_formula_sum 'Pm6 H4 S6'
_symmetry_space_group_name_H-M 'P 63/m c m'
_symmetry_Int_Tables_number 193
_symmetry_space_group_name_Hall '-P 6c 2'
_cell_length_a 8.1950
_cell_length_b 8.1950
_cell_length_c 5.6565
_cell_angle_alpha 90.00
_cell_angle_beta 90.00
_cell_angle_gamma 120.00
loop_
_atom_site_label
_atom_site_fract_x
_atom_site_fract_y
_atom_site_fract_z
Pm1 0.0000 0.3640 0.2500
H1 0.3333 0.6667 0.0000
S1 0.0000 0.2997 0.7500
```

Main lines, by angle (10° ≤ 2θ ≤ 90°):
21.7°, d = 4.098 Å, rel. 73; 26.9°, d = 3.318 Å, rel. 100; 31.6°, d = 2.828 Å, rel. 40; 38.0°, d = 2.366 Å, rel. 58; 38.7°, d = 2.328 Å, rel. 33; 50.3°, d = 1.815 Å, rel. 51

---

Diffraction record for Pm2H2SeS. The powder XRD pattern is calculated, not measured: it uses a structure optimized by DFT (GGA-PBE) and copper Kα.

Structure:
```
data_Pm2H2SeS
_chemical_formula_sum 'Pm2 H2 Se1 S1'
_symmetry_space_group_name_H-M 'P -3 m 1'
_symmetry_Int_Tables_number 164
_symmetry_space_group_name_Hall '-P 3 2"'
_cell_length_a 3.9374
_cell_length_b 3.9374
_cell_length_c 7.7425
_cell_angle_alpha 90.00
_cell_angle_beta 90.00
_cell_angle_gamma 120.00
loop_
_atom_site_label
_atom_site_fract_x
_atom_site_fract_y
_atom_site_fract_z
Pm1 0.3333 0.6667 0.2592
H1 0.3333 0.6667 0.7436
Se1 0.0000 0.0000 0.0000
S1 0.0000 0.0000 0.5000
```

Main lines, by angle (10° ≤ 2θ ≤ 90°):
28.6°, d = 3.121 Å, rel. 100; 35.1°, d = 2.559 Å, rel. 61; 44.0°, d = 2.058 Å, rel. 29; 46.1°, d = 1.969 Å, rel. 34; 55.2°, d = 1.665 Å, rel. 16; 67.9°, d = 1.380 Å, rel. 20

---

Diffraction record for Pm4Sb2H. The powder XRD pattern is calculated, not measured: it uses a structure optimized by DFT (GGA-PBE) and copper Kα.

Structure:
```
data_Pm4Sb2H
_chemical_formula_sum 'Pm8 Sb4 H2'
_symmetry_space_group_name_H-M 'P 1 21/m 1'
_symmetry_Int_Tables_number 11
_symmetry_space_group_name_Hall '-P 2yb'
_cell_length_a 6.8164
_cell_length_b 6.4843
_cell_length_c 8.9995
_cell_angle_alpha 90.00
_cell_angle_beta 107.89
_cell_angle_gamma 90.00
loop_
_atom_site_label
_atom_site_fract_x
_atom_site_fract_y
_atom_site_fract_z
Pm1 0.0171 0.0029 0.2893
Pm2 0.3656 0.7500 0.0668
Pm3 0.4320 0.7500 0.6396
Sb1 0.2099 0.2500 0.0381
Sb2 0.3137 0.2500 0.5931
H1 0.2290 0.7500 0.8017
```

Main lines, by angle (10° ≤ 2θ ≤ 90°):
28.3°, d = 3.156 Å, rel. 60; 29.0°, d = 3.081 Å, rel. 86; 30.8°, d = 2.900 Å, rel. 100; 31.3°, d = 2.855 Å, rel. 33; 34.7°, d = 2.585 Å, rel. 50; 34.9°, d = 2.571 Å, rel. 63

---

Diffraction record for PmSc2H. The powder XRD pattern is calculated, not measured: it uses a structure optimized by DFT (GGA-PBE) and copper Kα.

Structure:
```
data_PmSc2H
_chemical_formula_sum 'Pm3 Sc6 H3'
_symmetry_space_group_name_H-M 'R -3 m'
_symmetry_Int_Tables_number 166
_symmetry_space_group_name_Hall '-R 3 2"'
_cell_length_a 3.3961
_cell_length_b 3.3961
_cell_length_c 24.4518
_cell_angle_alpha 90.00
_cell_angle_beta 90.00
_cell_angle_gamma 120.00
loop_
_atom_site_label
_atom_site_fract_x
_atom_site_fract_y
_atom_site_fract_z
Pm1 0.0000 0.0000 0.0000
Sc1 0.0000 0.0000 0.2171
H1 0.0000 0.0000 0.5000
```

Main lines, by angle (10° ≤ 2θ ≤ 90°):
10.9°, d = 8.151 Å, rel. 85; 30.6°, d = 2.920 Å, rel. 80; 33.0°, d = 2.717 Å, rel. 44; 33.8°, d = 2.650 Å, rel. 100; 35.6°, d = 2.520 Å, rel. 98; 64.7°, d = 1.440 Å, rel. 35

---

Diffraction record for Pm2H4Se. The powder XRD pattern is calculated, not measured: it uses a structure optimized by DFT (GGA-PBE) and copper Kα.

Structure:
```
data_Pm2H4Se
_chemical_formula_sum 'Pm4 H8 Se2'
_symmetry_space_group_name_H-M 'P 42/m n m'
_symmetry_Int_Tables_number 136
_symmetry_space_group_name_Hall '-P 4n 2n'
_cell_length_a 7.2234
_cell_length_b 7.2234
_cell_length_c 3.8212
_cell_angle_alpha 90.00
_cell_angle_beta 90.00
_cell_angle_gamma 90.00
loop_
_atom_site_label
_atom_site_fract_x
_atom_site_fract_y
_atom_site_fract_z
Pm1 0.2190 0.2190 0.0000
H1 0.0915 0.6737 0.0000
Se1 0.0000 0.0000 0.5000
```

Main lines, by angle (10° ≤ 2θ ≤ 90°):
24.6°, d = 3.612 Å, rel. 36; 29.2°, d = 3.060 Å, rel. 100; 35.1°, d = 2.554 Å, rel. 43; 36.4°, d = 2.467 Å, rel. 26; 44.5°, d = 2.037 Å, rel. 23; 46.3°, d = 1.961 Å, rel. 42

---

Diffraction record for Pm2SiH. The powder XRD pattern is calculated, not measured: it uses a structure optimized by DFT (GGA-PBE) and copper Kα.

Structure:
```
data_Pm2SiH
_chemical_formula_sum 'Pm6 Si3 H3'
_symmetry_space_group_name_H-M 'P 31 2 1'
_symmetry_Int_Tables_number 152
_symmetry_space_group_name_Hall 'P 31 2"'
_cell_length_a 6.2473
_cell_length_b 6.2473
_cell_length_c 8.2350
_cell_angle_alpha 90.00
_cell_angle_beta 90.00
_cell_angle_gamma 120.00
loop_
_atom_site_label
_atom_site_fract_x
_atom_site_fract_y
_atom_site_fract_z
Pm1 0.1075 0.3929 0.3781
Si1 0.0000 0.5944 0.6667
H1 0.0000 0.5501 0.1667
```

Main lines, by angle (10° ≤ 2θ ≤ 90°):
19.6°, d = 4.522 Å, rel. 31; 27.2°, d = 3.277 Å, rel. 100; 28.6°, d = 3.124 Å, rel. 64; 30.6°, d = 2.921 Å, rel. 63; 34.9°, d = 2.570 Å, rel. 41; 39.9°, d = 2.261 Å, rel. 34